1.
# SrH2IrPt
Theoretical X-ray diffraction stick pattern, a wavelength of 1.5418 Å. Input: a DFT-relaxed cell (PBE, Alexandria).
No peak broadening, texture or thermal motion is included.

Peak list (6 most intense, 2θ from 5° to 70°, by angle)
hkl 0 0 1, d 4.334, 2θ = 20.49°, I 100; hkl 1 1 -1, d 2.897, 2θ = 30.86°, I 70; hkl 1 1 1, d 2.878, 2θ = 31.08°, I 58; hkl 3 1 0, d 2.283, 2θ = 39.47°, I 99; hkl 0 2 0, d 2.212, 2θ = 40.79°, I 46; hkl 0 0 2, d 2.167, 2θ = 41.68°, I 42

Crystal structure
```
data_SrH2IrPt
_chemical_formula_sum 'Sr2 H4 Ir2 Pt2'
_cell_length_a 7.996
_cell_length_b 4.425
_cell_length_c 4.334
_cell_angle_alpha 90.00
_cell_angle_beta 90.81
_cell_angle_gamma 90.00
_symmetry_space_group_name_H-M 'C 1 m 1'
_symmetry_Int_Tables_number 8
loop_
_symmetry_equiv_pos_as_xyz
'x,y,z'
'x,-y,z'
'x+1/2,y+1/2,z'
'x+1/2,-y+1/2,z'
loop_
_atom_site_label
_atom_site_type_symbol
_atom_site_fract_x
_atom_site_fract_y
_atom_site_fract_z
Sr1 Sr 0.000 0.000 0.000
H1 H 0.334 0.000 0.091
H2 H 0.498 0.000 0.732
Ir1 Ir 0.333 0.000 0.480
Pt1 Pt 0.173 0.500 0.491
```

***

2.
# Zr4CuNi
Theoretical X-ray diffraction stick pattern, a wavelength of 1.5418 Å. Input: a DFT-relaxed cell (PBE, Alexandria).
No peak broadening, texture or thermal motion is included.

Peak list (6 most intense, 2θ from 5° to 70°, by angle)
hkl 2 1 1, d 2.568, 2θ = 34.93°, I 100; hkl 1 1 2, d 2.270, 2θ = 39.70°, I 25; hkl 3 1 0, d 2.089, 2θ = 43.31°, I 37; hkl 2 0 2, d 2.042, 2θ = 44.36°, I 27; hkl 4 1 1, d 1.531, 2θ = 60.46°, I 14; hkl 2 1 3, d 1.494, 2θ = 62.13°, I 18

Crystal structure
```
data_Zr4CuNi
_chemical_formula_sum 'Zr8 Cu2 Ni2'
_cell_length_a 6.607
_cell_length_b 6.607
_cell_length_c 5.195
_cell_angle_alpha 90.00
_cell_angle_beta 90.00
_cell_angle_gamma 90.00
_symmetry_space_group_name_H-M 'I 4 2 2'
_symmetry_Int_Tables_number 97
_symmetry_space_group_name_Hall 'I 4 2'
loop_
_atom_site_label
_atom_site_type_symbol
_atom_site_fract_x
_atom_site_fract_y
_atom_site_fract_z
Zr1 Zr 0.160 0.340 0.250
Cu1 Cu 0.000 0.000 0.500
Ni1 Ni 0.000 0.000 0.000
```

***

3.
# Rb3Tl2Sb2
Theoretical X-ray diffraction stick pattern, a wavelength of 1.5418 Å. Input: a DFT-relaxed cell (PBE, Alexandria).
No peak broadening, texture or thermal motion is included.

Peak list (6 most intense, 2θ from 5° to 70°, by angle)
hkl 0 1 1, d 5.497, 2θ = 16.12°, I 69; hkl 0 1 5, d 3.551, 2θ = 25.08°, I 49; hkl 1 1 2, d 3.489, 2θ = 25.53°, I 100; hkl 0 2 0, d 2.832, 2θ = 31.59°, I 42; hkl 1 0 7, d 2.696, 2θ = 33.24°, I 57; hkl 1 2 7, d 1.953, 2θ = 46.51°, I 44

Crystal structure
```
data_Rb3Tl2Sb2
_chemical_formula_sum 'Rb6 Tl4 Sb4'
_cell_length_a 4.807
_cell_length_b 5.664
_cell_length_c 22.791
_cell_angle_alpha 90.00
_cell_angle_beta 90.00
_cell_angle_gamma 90.00
_symmetry_space_group_name_H-M 'I m m m'
_symmetry_Int_Tables_number 71
_symmetry_space_group_name_Hall '-I 2 2'
loop_
_atom_site_label
_atom_site_type_symbol
_atom_site_fract_x
_atom_site_fract_y
_atom_site_fract_z
Rb1 Rb 0.000 0.000 0.000
Rb2 Rb 0.000 0.500 0.311
Tl1 Tl 0.000 0.000 0.434
Sb1 Sb 0.000 0.500 0.141
```

***

4.
# Li3Ag6Sb2
Theoretical X-ray diffraction stick pattern, a wavelength of 1.5418 Å. Input: a DFT-relaxed cell (PBE, Alexandria).
No peak broadening, texture or thermal motion is included.

Peak list (6 most intense, 2θ from 5° to 70°, by angle)
hkl 1 -1 2, d 2.436, 2θ = 36.90°, I 84; hkl 1 1 -3, d 2.418, 2θ = 37.18°, I 87; hkl -1 2 1, d 2.372, 2θ = 37.94°, I 100; hkl 1 2 0, d 2.355, 2θ = 38.21°, I 98; hkl 0 3 -2, d 2.260, 2θ = 39.89°, I 83; hkl 2 0 -1, d 2.196, 2θ = 41.10°, I 91

Crystal structure
```
data_Li3Ag6Sb2
_chemical_formula_sum 'Li3 Ag6 Sb2'
_cell_length_a 4.393
_cell_length_b 6.963
_cell_length_c 7.588
_cell_angle_alpha 113.94
_cell_angle_beta 106.37
_cell_angle_gamma 90.68
_symmetry_space_group_name_H-M 'P -1'
_symmetry_Int_Tables_number 2
loop_
_symmetry_equiv_pos_as_xyz
'x,y,z'
'-x,-y,-z'
loop_
_atom_site_label
_atom_site_type_symbol
_atom_site_fract_x
_atom_site_fract_y
_atom_site_fract_z
Li1 Li 0.000 0.000 0.000
Li2 Li 0.280 0.331 0.569
Ag1 Ag 0.173 0.908 0.351
Ag2 Ag 0.350 0.815 0.699
Ag3 Ag 0.472 0.266 0.934
Sb1 Sb 0.116 0.438 0.221
```